This entry pairs a crystal structure of SrMnTl2 with its computed powder X-ray diffraction pattern. Radiation: Cu Kα, 1.54184 Å. Structure: a cell relaxed with PBE.
Neutral-atom scattering factors, no anomalous dispersion.

```
data_SrMnTl2
_space_group_name_H-M_alt 'I -4 m 2'
_space_group_IT_number 119
_space_group_name_Hall 'I -4 -2'
_cell_length_a 4.7899
_cell_length_b 4.7899
_cell_length_c 9.8639
_cell_angle_alpha 90.00
_cell_angle_beta 90.00
_cell_angle_gamma 90.00
loop_
_atom_site_label
_atom_site_fract_x
_atom_site_fract_y
_atom_site_fract_z
Sr1 0.0000 0.0000 0.0000
Mn1 0.0000 0.5000 0.2500
Tl1 0.0000 0.0000 0.5000
Tl2 0.0000 0.5000 0.7500
```

Most intense lines, 2θ = 15–90°, by intensity:
2theta, d_spacing, intensity, (hkl)
32.06, 2.792, 100, 1 1 2
37.55, 2.395, 33, 2 0 0
20.61, 4.309, 32, 1 0 1
64.34, 1.448, 27, 3 1 2
53.32, 1.718, 24, 2 0 4
36.43, 2.466, 18, 0 0 4
62.83, 1.479, 15, 1 1 6
87.59, 1.114, 12, 3 1 6
67.04, 1.396, 12, 2 2 4
54.16, 1.693, 11, 2 2 0